Entry 1:
Starting from DFT lattice parameters and positions (PBE), the powder XRD pattern of PaBeNi3 was simulated for CuKα.
Intensities are scaled so that the largest is 100.

Crystal structure
abc: 5.6638 5.6638 9.8120
angles: 90.00 90.00 120.00
Space group P6_3/mmc (No. 194)
Asymmetric unit:
1 Pa 0.0000 0.0000 0.0000 (multiplicity 2)
2 Pa 0.3333 0.6667 0.2500 (multiplicity 2)
3 Be 0.3333 0.6667 0.6419 (multiplicity 4)
4 Ni 0.0000 0.5000 0.0000 (multiplicity 6)
5 Ni 0.1426 0.2852 0.7500 (multiplicity 6)

Largest 8 diffraction maxima, by angle, 10 to 80 degrees two-theta:
hkl	Position (°2θ)	I/Imax
1 0 1	20.24	32
1 0 2	25.68	36
1 1 0	31.59	30
0 0 4	36.64	48
2 0 1	37.81	37
2 0 2	41.15	100
2 1 2	52.79	30
0 0 8	77.90	36



Entry 2:
Starting from DFT lattice parameters and positions (PBE), the powder XRD pattern of PaBe17Ni was simulated for CuKα.
Intensities are scaled so that the largest is 100.

Crystal structure
abc: 7.5778 7.5778 10.9769
angles: 90.00 90.00 120.00
Space group R3m (No. 160, hexagonal axes)
Asymmetric unit:
1 Pa 0.0000 0.0000 0.0000 (multiplicity 3)
2 Be 0.0000 0.0000 0.5553 (multiplicity 3)
3 Be 0.0000 0.0000 0.7498 (multiplicity 3)
4 Be 0.0466 0.3701 0.3196 (multiplicity 18)
5 Be 0.1677 0.3355 0.8316 (multiplicity 9)
6 Be 0.1718 0.3437 0.4915 (multiplicity 9)
7 Be 0.1783 0.3567 0.1372 (multiplicity 9)
8 Ni 0.0000 0.0000 0.3453 (multiplicity 3)

Largest 8 diffraction maxima, by angle, 10 to 80 degrees two-theta:
hkl	Position (°2θ)	I/Imax
1 0 1	15.73	100
0 1 2	21.10	69
1 1 0	23.48	89
0 2 1	28.39	30
1 1 3	34.06	82
2 1 1	37.16	30
1 2 2	39.88	29
3 0 3	48.48	40



Entry 3:
Starting from DFT lattice parameters and positions (PBE), the powder XRD pattern of PaBe2Ni10 was simulated for CuKα.
Intensities are scaled so that the largest is 100.

Crystal structure
abc: 4.6170 11.2707 11.4393
angles: 90.00 90.00 90.00
Space group Fmmm (No. 69)
Asymmetric unit:
1 Pa 0.0000 0.0000 0.0000 (multiplicity 4)
2 Be 0.2500 0.0000 0.2500 (multiplicity 8)
3 Ni 0.0000 0.1075 0.3829 (multiplicity 16)
4 Ni 0.0000 0.1691 0.1775 (multiplicity 16)
5 Ni 0.2500 0.2500 0.0000 (multiplicity 8)

Largest 8 diffraction maxima, by angle, 10 to 80 degrees two-theta:
hkl	Position (°2θ)	I/Imax
0 0 2	15.49	58
0 2 2	22.18	75
0 4 2	35.52	58
1 3 3	38.90	100
1 1 5	44.94	96
0 4 4	45.17	75
2 2 2	45.32	79
1 5 1	45.47	86



Entry 4:
Starting from DFT lattice parameters and positions (PBE), the powder XRD pattern of BeNi2Pb was simulated for CuKα.
Intensities are scaled so that the largest is 100.

Crystal structure
abc: 3.4942 4.4785 7.0313
angles: 90.00 90.00 90.00
Space group Immm (No. 71)
Asymmetric unit:
1 Be 0.0000 0.0000 0.0000 (multiplicity 2)
2 Ni 0.0000 0.5000 0.3025 (multiplicity 4)
3 Pb 0.0000 0.0000 0.5000 (multiplicity 2)

Largest 8 diffraction maxima, by angle, 10 to 80 degrees two-theta:
hkl	Position (°2θ)	I/Imax
0 1 1	23.55	52
1 0 1	28.53	80
0 2 0	40.28	32
1 1 2	41.65	100
0 1 3	43.58	42
1 2 1	50.09	35
2 1 3	70.43	20
1 3 2	74.15	18



Entry 5:
Starting from DFT lattice parameters and positions (PBE), the powder XRD pattern of BeNiPb was simulated for CuKα.
Intensities are scaled so that the largest is 100.

Crystal structure
abc: 3.8092 3.8092 3.8135
angles: 90.00 90.00 120.00
Space group P-6m2 (No. 187)
Asymmetric unit:
1 Be 0.0000 0.0000 0.0000 (multiplicity 1)
2 Ni 0.6667 0.3333 0.0000 (multiplicity 1)
3 Pb 0.3333 0.6667 0.5000 (multiplicity 1)

Largest 8 diffraction maxima, by angle, 10 to 80 degrees two-theta:
hkl	Position (°2θ)	I/Imax
0 0 1	23.33	14
1 0 0	27.03	53
1 0 1	36.00	100
1 1 0	47.74	38
2 0 0	55.69	23
2 0 1	61.23	22
1 1 2	69.79	18
2 1 0	76.36	13



Entry 6:
Starting from DFT lattice parameters and positions (PBE), the powder XRD pattern of PmBe3Ni2 was simulated for CuKα.
Intensities are scaled so that the largest is 100.

Crystal structure
abc: 9.1070 6.8194 4.9794
angles: 90.00 90.00 90.00
Space group Cmcm (No. 63)
Asymmetric unit:
1 Pm 0.0000 0.1702 0.2500 (multiplicity 4)
2 Be 0.0000 0.4145 0.7500 (multiplicity 4)
3 Be 0.1908 0.2227 0.7500 (multiplicity 8)
4 Ni 0.1971 0.5000 0.0000 (multiplicity 8)

Largest 8 diffraction maxima, by angle, 10 to 80 degrees two-theta:
hkl	Position (°2θ)	I/Imax
1 1 1	24.19	100
3 1 0	32.28	50
2 2 0	32.81	46
3 1 1	37.11	42
2 2 1	37.58	38
1 3 0	40.92	32
2 0 2	41.33	51
0 2 2	45.09	31